[1]
Structure and theoretical powder diffraction line list of MoAsCl2 (a PBE-relaxed structure; a wavelength of 1.5418 Å).

a = 9.203 Å, b = 3.131 Å, c = 7.486 Å
α = 90.00°, β = 109.42°, γ = 90.00°
Space group Cm (No. 8)
Unique sites:
Mo (0.000, 0.000, 0.000) x2
As (0.290, 0.000, 0.000) x2
Cl (0.119, 0.500, 0.271) x2
Cl (0.472, 0.000, 0.729) x2

Principal peaks in the range 2θ = 10–90°, most intense first:
2θ 12.5, I 100.0, (0 0 1)
2θ 37.5, I 14.8, (1 1 -2)
2θ 34.3, I 13.4, (1 1 1)
2θ 39.2, I 9.8, (4 0 -1)
2θ 38.2, I 9.6, (0 0 3)
2θ 44.0, I 9.3, (3 1 -2)
2θ 47.6, I 9.3, (3 1 1)
2θ 42.1, I 8.7, (1 1 2)
2θ 41.3, I 8.7, (3 1 -1)
2θ 42.5, I 8.5, (3 1 0)



[2]
Structure and theoretical powder diffraction line list of AsN2Cl3 (a PBE-relaxed structure; a wavelength of 1.5418 Å).

a = 10.868 Å, b = 10.693 Å, c = 7.318 Å
α = 90.00°, β = 95.63°, γ = 90.00°
Space group C2/c (No. 15)
Unique sites:
As (0.000, 0.018, 0.250) x4
N (0.036, 0.400, 0.702) x8
Cl (0.000, 0.222, 0.250) x4
Cl (0.163, 0.000, 0.024) x8

Principal peaks in the range 2θ = 10–90°, most intense first:
2θ 11.6, I 100.0, (1 1 0)
2θ 16.6, I 36.6, (0 2 0)
2θ 16.4, I 28.1, (2 0 0)
2θ 30.9, I 18.3, (2 0 2)
2θ 26.3, I 15.8, (1 3 0)
2θ 34.3, I 15.4, (3 1 -2)
2θ 43.1, I 12.7, (1 5 0)
2θ 28.2, I 12.6, (2 0 -2)
2θ 37.7, I 9.7, (3 1 2)
2θ 20.6, I 9.5, (0 2 1)



[3]
Structure and theoretical powder diffraction line list of Sr5As2NCl (a PBE-relaxed structure; a wavelength of 1.5418 Å).

a = 5.013 Å, b = 7.645 Å, c = 14.986 Å
α = 90.00°, β = 90.00°, γ = 90.00°
Space group Immm (No. 71)
Unique sites:
Sr (0.000, 0.000, 0.000) x2
Sr (0.000, 0.274, 0.361) x8
As (0.000, 0.000, 0.207) x4
N (0.000, 0.500, 0.500) x2
Cl (0.000, 0.500, 0.000) x2

Principal peaks in the range 2θ = 10–90°, most intense first:
2θ 30.0, I 100.0, (1 2 1)
2θ 33.5, I 76.6, (0 2 4)
2θ 25.2, I 54.1, (1 0 3)
2θ 13.0, I 53.9, (0 1 1)
2θ 49.9, I 47.9, (2 2 4)
2θ 35.8, I 47.8, (2 0 0)
2θ 34.5, I 43.9, (1 2 3)
2θ 34.9, I 35.4, (1 0 5)
2θ 32.1, I 28.7, (0 1 5)
2θ 21.2, I 24.1, (1 1 0)